# 1
# K3NdP2O8
Theoretical powder diffractogram, CuKα. Input: a DFT-relaxed cell (GGA-PBE, the Materials Project).
Peak positions follow from Bragg's law for the DFT cell and can differ from measured ones.

Atomic structure:
```
data_K3NdP2O8
_cell_length_a 7.5787
_cell_length_b 5.7444
_cell_length_c 9.6428
_cell_angle_alpha 90.00
_cell_angle_beta 91.02
_cell_angle_gamma 90.00
_symmetry_space_group_name_H-M 'P 1 21/m 1'
_symmetry_Int_Tables_number 11
loop_
_symmetry_equiv_pos_as_xyz
'x,y,z'
'-x,-y,-z'
'-x,y+1/2,-z'
'x,-y+1/2,z'
loop_
_atom_site_label
_atom_site_fract_x
_atom_site_fract_y
_atom_site_fract_z
K1 0.0050 0.2500 0.1905
K2 0.1413 0.7500 0.4087
K3 0.2964 0.2500 0.9165
Nd1 0.4950 0.7500 0.7095
P1 0.2667 0.7500 0.0867
P2 0.3077 0.2500 0.5731
O1 0.0647 0.7500 0.1005
O2 0.2165 0.2500 0.4262
O3 0.2540 0.0285 0.6558
O4 0.3219 0.7500 0.9315
O5 0.3453 0.5286 0.1598
O6 0.4901 0.7500 0.4516
```

Peak list (10 most intense, 2θ = 5–70°, low angle first)
2theta  I_rel  hkl
11.7  100  1 0 0
18.0  38  0 1 1
21.6  78  1 1 1
29.6  42  2 1 -1
29.7  39  2 0 -2
29.9  79  2 1 1
31.1  67  0 2 0
31.9  78  0 1 3
43.6  22  2 2 -2
44.0  22  2 2 2

=====

# 2
# K2NdP5O15
Theoretical powder diffractogram, CuKα. Input: a DFT-relaxed cell (GGA-PBE, the Materials Project).
Peak positions follow from Bragg's law for the DFT cell and can differ from measured ones.

Atomic structure:
```
data_K2NdP5O15
_cell_length_a 8.5210
_cell_length_b 11.7500
_cell_length_c 13.4096
_cell_angle_alpha 90.00
_cell_angle_beta 90.69
_cell_angle_gamma 90.00
_symmetry_space_group_name_H-M 'C 1 c 1'
_symmetry_Int_Tables_number 9
loop_
_symmetry_equiv_pos_as_xyz
'x,y,z'
'x,-y,z+1/2'
'x+1/2,y+1/2,z'
'x+1/2,-y+1/2,z+1/2'
loop_
_atom_site_label
_atom_site_fract_x
_atom_site_fract_y
_atom_site_fract_z
K1 0.0000 0.1180 0.0000
K2 0.3294 0.3058 0.1975
Nd1 0.3229 0.0959 0.6937
P1 0.1292 0.1969 0.4532
P2 0.1343 0.4249 0.0023
P3 0.1436 0.3757 0.7847
P4 0.3981 0.1102 0.9732
P5 0.4895 0.3958 0.7693
O1 0.0204 0.4602 0.7539
O2 0.0279 0.3639 0.0737
O3 0.0507 0.0979 0.3830
O4 0.0558 0.4616 0.4598
O5 0.0771 0.0134 0.2138
O6 0.1329 0.3459 0.9021
O7 0.1478 0.2631 0.7317
O8 0.1797 0.1359 0.5462
O9 0.2437 0.2667 0.3966
O10 0.2970 0.4511 0.0362
O11 0.3013 0.1021 0.8787
O12 0.3105 0.4432 0.7773
O13 0.3203 0.0851 0.0709
O14 0.4709 0.2354 0.9832
O15 0.4877 0.2757 0.7307
```

Peak list (10 most intense, 2θ = 5–70°, low angle first)
2theta  I_rel  hkl
12.8  29  1 1 0
14.4  28  1 1 -1
16.5  17  0 2 1
18.5  17  1 1 2
24.9  18  2 0 2
25.0  31  0 2 3
25.9  49  1 3 1
26.6  100  2 2 -1
33.0  21  2 2 3
39.7  19  1 5 0

=====

# 3
# KTbNdSbO6
Theoretical powder diffractogram, CuKα. Input: a DFT-relaxed cell (GGA-PBE, the Materials Project).
Peak positions follow from Bragg's law for the DFT cell and can differ from measured ones.

Atomic structure:
```
data_KTbNdSbO6
_cell_length_a 8.3723
_cell_length_b 8.3723
_cell_length_c 8.3723
_cell_angle_alpha 90.00
_cell_angle_beta 90.00
_cell_angle_gamma 90.00
_symmetry_space_group_name_H-M 'F -4 3 m'
_symmetry_Int_Tables_number 216
_symmetry_space_group_name_Hall 'F -4 2 3'
loop_
_atom_site_label
_atom_site_fract_x
_atom_site_fract_y
_atom_site_fract_z
K1 0.0000 0.0000 0.0000
Tb1 0.2500 0.2500 0.2500
Nd1 0.0000 0.0000 0.5000
Sb1 0.2500 0.2500 0.7500
O1 0.0130 0.2500 0.7500
```

Peak list (10 most intense, 2θ = 5–70°, low angle first)
2theta  I_rel  hkl
18.4  13  1 1 1
21.2  11  2 0 0
30.2  100  2 2 0
35.6  9  3 1 1
43.2  31  4 0 0
47.3  4  3 3 1
48.6  4  4 2 0
53.6  40  4 2 2
57.2  3  3 3 3
62.8  19  4 4 0

=====

# 4
# KSrNdSeO6
Theoretical powder diffractogram, CuKα. Input: a DFT-relaxed cell (GGA-PBE, the Materials Project).
Peak positions follow from Bragg's law for the DFT cell and can differ from measured ones.

Atomic structure:
```
data_KSrNdSeO6
_cell_length_a 8.2732
_cell_length_b 8.2732
_cell_length_c 8.2732
_cell_angle_alpha 90.00
_cell_angle_beta 90.00
_cell_angle_gamma 90.00
_symmetry_space_group_name_H-M 'F -4 3 m'
_symmetry_Int_Tables_number 216
_symmetry_space_group_name_Hall 'F -4 2 3'
loop_
_atom_site_label
_atom_site_fract_x
_atom_site_fract_y
_atom_site_fract_z
K1 0.0000 0.0000 0.0000
Sr1 0.0000 0.0000 0.5000
Nd1 0.2500 0.2500 0.7500
Se1 0.2500 0.2500 0.2500
O1 0.0284 0.2500 0.2500
```

Peak list (10 most intense, 2θ = 5–70°, low angle first)
2theta  I_rel  hkl
18.6  9  1 1 1
21.5  20  2 0 0
30.6  100  2 2 0
36.0  9  3 1 1
43.8  34  4 0 0
47.9  6  3 3 1
49.3  7  4 2 0
54.3  38  4 2 2
63.6  20  4 4 0
68.0  3  6 0 0